Diffraction record for V3BF. The PXRD pattern is simulated, not measured: it uses the GGA+U geometry in Alexandria and a wavelength of 1.5418 Å.

Atomic structure:
```
V3BF
1.0
4.3613 0.0000 0.0000
0.0000 4.3613 0.0000
0.0000 0.0000 4.3613
V B F
3 1 1
direct
0.0000 0.0000 0.5000
0.0000 0.5000 0.0000
0.5000 0.0000 0.0000
0.0000 0.0000 0.0000
0.5000 0.5000 0.5000
```

The 8 most intense peaks (15 to 90 degrees two-theta), by angle:
two_theta  d (Å)  intensity
20.36  4.361  199
35.66  2.518  1000
41.41  2.181  572
46.56  1.950  75
60.00  1.542  333
71.78  1.315  308
75.52  1.259  104
89.99  1.090  49